# 1
Starting from a DFT-relaxed cell (PBE+U, the Materials Project), the powder diffraction line list of Sr3MgCr2S2O5 was computed for Cu Kα.
No peak broadening, texture or thermal motion is included.

Principal peaks in the range 10 to 80 degrees two-theta, low angle first:
2θ = 13.1°, 6.767 Å, I = 9, hkl 0 0 4; 2θ = 31.9°, 2.805 Å, I = 45, hkl 1 1 0; 2θ = 32.3°, 2.769 Å, I = 100, hkl 1 0 7; 2θ = 37.5°, 2.396 Å, I = 12, hkl 1 0 9; 2θ = 37.8°, 2.382 Å, I = 20, hkl 1 1 6; 2θ = 45.8°, 1.983 Å, I = 35, hkl 2 0 0; 2θ = 57.1°, 1.612 Å, I = 37, hkl 2 1 7; 2θ = 57.9°, 1.592 Å, I = 13, hkl 1 1 14; 2θ = 66.7°, 1.402 Å, I = 10, hkl 2 2 0; 2θ = 67.7°, 1.384 Å, I = 9, hkl 2 0 14

Structural model:
Cell lengths 3.966, 3.966, 27.066 Å; angles 90.00, 90.00, 90.00 degrees
Space group I-4m2 (No. 119)
Unique sites:
1 Sr 0.000 0.000 0.000 (multiplicity 2)
2 Sr 0.000 0.000 0.137 (multiplicity 4)
3 Mg 0.000 0.500 0.750 (multiplicity 2)
4 Cr 0.000 0.000 0.429 (multiplicity 4)
5 S 0.000 0.000 0.307 (multiplicity 4)
6 O 0.000 0.000 0.500 (multiplicity 2)
7 O 0.000 0.500 0.079 (multiplicity 4)
8 O 0.000 0.500 0.580 (multiplicity 4)

# 2
Starting from a DFT-relaxed cell (PBE+U, the Materials Project), the powder diffraction line list of Ba2LaMn2O7 was computed for Cu Kα.
No peak broadening, texture or thermal motion is included.

Principal peaks in the range 10 to 80 degrees two-theta, low angle first:
2θ = 22.6°, 3.937 Å, I = 18, hkl 1 0 1; 2θ = 25.5°, 3.497 Å, I = 12, hkl 0 0 6; 2θ = 30.8°, 2.898 Å, I = 100, hkl 1 0 5; 2θ = 31.6°, 2.834 Å, I = 66, hkl 1 1 0; 2θ = 41.0°, 2.202 Å, I = 34, hkl 1 1 6; 2θ = 45.3°, 2.004 Å, I = 37, hkl 2 0 0; 2θ = 54.4°, 1.686 Å, I = 13, hkl 1 1 10; 2θ = 55.8°, 1.648 Å, I = 38, hkl 2 1 5; 2θ = 64.3°, 1.449 Å, I = 11, hkl 2 0 10; 2θ = 65.9°, 1.417 Å, I = 11, hkl 2 2 0

Structural model:
Cell lengths 4.008, 4.008, 20.984 Å; angles 90.00, 90.00, 90.00 degrees
Space group I4/mmm (No. 139)
Unique sites:
1 Ba 0.000 0.000 0.181 (multiplicity 4)
2 La 0.000 0.000 0.000 (multiplicity 2)
3 Mn 0.000 0.000 0.407 (multiplicity 4)
4 O 0.000 0.000 0.314 (multiplicity 4)
5 O 0.000 0.000 0.500 (multiplicity 2)
6 O 0.000 0.500 0.086 (multiplicity 8)